Record 1
Theoretical X-ray powder pattern
Compound: TlNiSe2
Radiation: Cu Kα
Structure: a structure optimized by DFT (GGA-PBE)
No peak broadening, texture or thermal motion is included.

Main lines, in order of rising 2θ (15 to 90 degrees two-theta):
two_theta	I (rel.)
20.21	29
26.91	39
28.54	67
33.79	41
35.39	100
39.63	28
50.91	35
55.10	28
59.54	17
67.21	15

Crystal structure
```
TlNiSe2
1.0
-1.7888 3.1272 4.3940
1.7888 -3.1272 4.3940
1.7888 3.1272 -4.3940
Tl Ni Se
1 1 2
direct
0.0000 0.0000 0.0000
0.5000 0.5000 0.0000
0.3332 0.8332 0.5000
0.6668 0.1668 0.5000
```



Record 2
Theoretical X-ray powder pattern
Compound: TlNiSe
Radiation: Cu Kα
Structure: a structure optimized by DFT (GGA-PBE)
No peak broadening, texture or thermal motion is included.

Main lines, in order of rising 2θ (15 to 90 degrees two-theta):
two_theta	I (rel.)
26.00	17
31.19	100
34.25	21
43.50	9
45.86	28
56.50	19
58.47	27
59.43	16
75.62	16
78.17	9

Crystal structure
```
TlNiSe
1.0
3.9574 0.0000 0.0000
-1.9787 3.4272 0.0000
0.0000 0.0000 5.2363
Tl Ni Se
1 1 1
direct
0.0000 0.0000 0.0000
0.3333 0.6667 0.4984
0.6667 0.3333 0.4995
```



Record 3
Theoretical X-ray powder pattern
Compound: TlNi5Se8
Radiation: Cu Kα
Structure: a structure optimized by DFT (GGA-PBE)
No peak broadening, texture or thermal motion is included.

Main lines, in order of rising 2θ (15 to 90 degrees two-theta):
two_theta	I (rel.)
32.34	48
32.48	100
34.11	66
34.77	31
41.42	36
47.79	36
50.68	31
51.17	58
61.95	24
62.93	22

Crystal structure
```
TlNi5Se8
1.0
9.2509 -1.8012 0.0000
9.2509 1.8012 0.0000
-2.2030 0.0000 8.0769
Tl Ni Se
1 5 8
direct
0.0000 0.0000 0.0000
0.1615 0.1615 0.4940
0.2038 0.2038 0.8242
0.5005 0.5005 0.5002
0.7972 0.7972 0.1760
0.8394 0.8394 0.5061
0.0700 0.0700 0.6648
0.2598 0.2598 0.3441
0.3274 0.3274 0.0127
0.4108 0.4108 0.6590
0.5902 0.5902 0.3412
0.6736 0.6736 0.9875
0.7411 0.7411 0.6559
0.9311 0.9311 0.3358
```



Record 4
Theoretical X-ray powder pattern
Compound: UTl2NiSe5
Radiation: Cu Kα
Structure: a structure optimized by DFT (GGA-PBE)
No peak broadening, texture or thermal motion is included.

Main lines, in order of rising 2θ (15 to 90 degrees two-theta):
two_theta	I (rel.)
16.03	27
20.15	15
21.61	44
27.10	16
29.52	41
29.84	100
35.27	37
42.18	19
44.80	22
54.57	15

Crystal structure
```
UTl2NiSe5
1.0
2.0232 -9.3044 0.0000
2.0232 9.3044 0.0000
0.0000 0.0000 13.7512
U Tl Ni Se
2 4 2 10
direct
0.2014 0.7986 0.5000
0.7986 0.2014 0.0000
0.1018 0.8982 0.1379
0.1099 0.8901 0.8056
0.8901 0.1099 0.3056
0.8982 0.1018 0.6379
0.4198 0.5802 0.9111
0.5802 0.4198 0.4111
0.0542 0.9458 0.4925
0.2911 0.7089 0.1350
0.2974 0.7026 0.8644
0.3439 0.6561 0.4787
0.4828 0.5172 0.7692
0.5172 0.4828 0.2692
0.6561 0.3439 0.9787
0.7026 0.2974 0.3644
0.7089 0.2911 0.6350
0.9458 0.0542 0.9925
```



Record 5
Theoretical X-ray powder pattern
Compound: ZrTlNiSe4
Radiation: Cu Kα
Structure: a structure optimized by DFT (GGA-PBE)
No peak broadening, texture or thermal motion is included.

Main lines, in order of rising 2θ (15 to 90 degrees two-theta):
two_theta	I (rel.)
20.88	56
24.89	45
28.90	77
31.64	45
31.77	100
33.04	58
34.63	59
37.65	43
42.27	41
42.50	47

Crystal structure
```
ZrTlNiSe4
1.0
6.7629 0.0000 0.0000
0.0000 5.6556 0.0000
-2.7893 0.0000 8.9322
Zr Tl Ni Se
2 2 2 8
direct
0.2269 0.2500 0.4421
0.7731 0.7500 0.5579
0.2498 0.2500 0.9541
0.7502 0.7500 0.0459
0.2305 0.7500 0.6585
0.7695 0.2500 0.3415
0.0489 0.7500 0.8343
0.0650 0.7500 0.4039
0.4883 0.9999 0.3105
0.4883 0.5001 0.3105
0.5117 0.0001 0.6895
0.5117 0.4999 0.6895
0.9350 0.2500 0.5961
0.9511 0.2500 0.1657
```